Entry 1:
Theoretical XRD peak list of Rb2NaHgBr5 for CuKα, from DFT lattice parameters and positions (PBE).
Intensities are scaled so that the largest is 100.

Crystal structure
```
data_Rb2NaHgBr5
_cell_length_a 4.459
_cell_length_b 20.661
_cell_length_c 14.282
_cell_angle_alpha 90.00
_cell_angle_beta 90.00
_cell_angle_gamma 90.00
_space_group_name_H-M_alt 'C m c 21'
_space_group_IT_number 36
_space_group_name_Hall 'C 2c -2'
loop_
_atom_site_label
_atom_site_fract_x
_atom_site_fract_y
_atom_site_fract_z
Rb1 0.000 0.128 0.000
Rb2 0.000 0.138 0.636
Na1 0.000 0.215 0.348
Hg1 0.000 0.443 0.751
Br1 0.000 0.044 0.360
Br2 0.000 0.295 0.980
Br3 0.000 0.317 0.696
Br4 0.000 0.354 0.320
Br5 0.000 0.497 0.089
```

Top 8 peaks for 5° ≤ 2θ ≤ 70°, low angle first:
Position (°2θ), Rel. int.
18.3, 43
23.9, 60
26.6, 88
26.9, 40
27.8, 100
35.1, 43
40.5, 45
44.7, 43


Entry 2:
Theoretical XRD peak list of Rb3Na3HgBr8 for CuKα, from DFT lattice parameters and positions (PBE).
Intensities are scaled so that the largest is 100.

Crystal structure
```
data_Rb3Na3HgBr8
_cell_length_a 15.420
_cell_length_b 8.892
_cell_length_c 9.401
_cell_angle_alpha 90.00
_cell_angle_beta 123.16
_cell_angle_gamma 90.00
_space_group_name_H-M_alt 'C 1 2/m 1'
_space_group_IT_number 12
_space_group_name_Hall '-C 2y'
loop_
_atom_site_label
_atom_site_fract_x
_atom_site_fract_y
_atom_site_fract_z
Rb1 0.000 0.000 0.000
Rb2 0.250 0.250 0.000
Na1 0.000 0.500 0.500
Na2 0.250 0.250 0.500
Hg1 0.000 0.000 0.500
Br1 0.012 0.238 0.299
Br2 0.225 0.000 0.700
Br3 0.238 0.500 0.712
```

Top 8 peaks for 5° ≤ 2θ ≤ 70°, low angle first:
Position (°2θ), Rel. int.
12.1, 46
23.0, 15
27.6, 100
38.4, 31
40.6, 38
49.8, 19
57.1, 10
66.1, 15


Entry 3:
Theoretical XRD peak list of NaTiHgBr6 for CuKα, from DFT lattice parameters and positions (PBE).
Intensities are scaled so that the largest is 100.

Crystal structure
```
data_NaTiHgBr6
_cell_length_a 7.118
_cell_length_b 7.275
_cell_length_c 7.316
_cell_angle_alpha 80.35
_cell_angle_beta 60.90
_cell_angle_gamma 69.68
_space_group_name_H-M_alt 'P 1'
_space_group_IT_number 1
_space_group_name_Hall 'P 1'
loop_
_atom_site_label
_atom_site_fract_x
_atom_site_fract_y
_atom_site_fract_z
Na1 0.000 0.000 0.000
Ti1 0.334 0.999 0.332
Hg1 0.830 0.500 0.342
Br1 0.126 0.786 0.322
Br2 0.248 0.224 0.053
Br3 0.411 0.781 0.615
Br4 0.551 0.212 0.324
Br5 0.701 0.774 0.053
Br6 0.974 0.217 0.615
```

Top 8 peaks for 5° ≤ 2θ ≤ 70°, low angle first:
Position (°2θ), Rel. int.
13.9, 47
16.5, 50
25.8, 16
29.0, 11
30.2, 100
41.6, 13
42.9, 20
43.7, 19


Entry 4:
Theoretical XRD peak list of NbHg2Br6 for CuKα, from DFT lattice parameters and positions (PBE).
Intensities are scaled so that the largest is 100.

Crystal structure
```
data_NbHg2Br6
_cell_length_a 7.8203
_cell_length_b 7.8203
_cell_length_c 19.8332
_cell_angle_alpha 90.00
_cell_angle_beta 90.00
_cell_angle_gamma 120.00
_space_group_name_H-M_alt 'R 3'
_space_group_IT_number 146
_space_group_name_Hall 'R 3'
loop_
_atom_site_label
_atom_site_fract_x
_atom_site_fract_y
_atom_site_fract_z
Nb1 0.0000 0.0000 0.0000
Hg1 0.0000 0.0000 0.2026
Hg2 0.0000 0.0000 0.3408
Br1 0.0286 0.4989 0.7528
Br2 0.1616 0.8086 0.6022
```

Top 8 peaks for 5° ≤ 2θ ≤ 70°, low angle first:
Position (°2θ), Rel. int.
13.8, 100
22.7, 26
26.7, 20
27.8, 57
32.0, 24
35.4, 20
35.6, 47
46.4, 30


Entry 5:
Theoretical XRD peak list of NbHgBr6 for CuKα, from DFT lattice parameters and positions (PBE).
Intensities are scaled so that the largest is 100.

Crystal structure
```
data_NbHgBr6
_cell_length_a 6.9029
_cell_length_b 6.9029
_cell_length_c 18.7018
_cell_angle_alpha 90.00
_cell_angle_beta 90.00
_cell_angle_gamma 120.00
_space_group_name_H-M_alt 'R -3'
_space_group_IT_number 148
_space_group_name_Hall '-R 3'
loop_
_atom_site_label
_atom_site_fract_x
_atom_site_fract_y
_atom_site_fract_z
Nb1 0.0000 0.0000 0.0000
Hg1 0.0000 0.0000 0.5000
Br1 0.0192 0.6454 0.5882
```

Top 8 peaks for 5° ≤ 2θ ≤ 70°, low angle first:
Position (°2θ), Rel. int.
17.6, 88
24.2, 42
29.6, 100
31.4, 22
38.9, 75
41.1, 22
44.5, 22
45.5, 43


Entry 6:
Theoretical XRD peak list of NbHgBr5 for CuKα, from DFT lattice parameters and positions (PBE).
Intensities are scaled so that the largest is 100.

Crystal structure
```
data_NbHgBr5
_cell_length_a 8.982
_cell_length_b 9.967
_cell_length_c 12.423
_cell_angle_alpha 90.00
_cell_angle_beta 90.00
_cell_angle_gamma 90.00
_space_group_name_H-M_alt 'I m m a'
_space_group_IT_number 74
_space_group_name_Hall '-I 2b 2'
loop_
_atom_site_label
_atom_site_fract_x
_atom_site_fract_y
_atom_site_fract_z
Nb1 0.000 0.000 0.000
Hg1 0.000 0.250 0.356
Br1 0.000 0.075 0.808
Br2 0.000 0.250 0.079
Br3 0.221 0.000 0.500
```

Top 8 peaks for 5° ≤ 2θ ≤ 70°, low angle first:
Position (°2θ), Rel. int.
11.4, 67
19.5, 80
19.8, 100
22.9, 63
27.8, 70
30.7, 52
34.0, 79
34.3, 80


Entry 7:
Theoretical XRD peak list of Nb4HgBr7 for CuKα, from DFT lattice parameters and positions (PBE).
Intensities are scaled so that the largest is 100.

Crystal structure
```
data_Nb4HgBr7
_cell_length_a 4.975
_cell_length_b 18.587
_cell_length_c 8.759
_cell_angle_alpha 90.00
_cell_angle_beta 90.16
_cell_angle_gamma 90.00
_space_group_name_H-M_alt 'P 1 21/m 1'
_space_group_IT_number 11
_space_group_name_Hall '-P 2yb'
loop_
_atom_site_label
_atom_site_fract_x
_atom_site_fract_y
_atom_site_fract_z
Nb1 0.185 0.001 0.370
Nb2 0.215 0.096 0.584
Hg1 0.286 0.750 0.960
Br1 0.208 0.138 0.295
Br2 0.224 0.250 0.679
Br3 0.238 0.019 0.837
Br4 0.281 0.638 0.375
```

Top 8 peaks for 5° ≤ 2θ ≤ 70°, low angle first:
Position (°2θ), Rel. int.
10.1, 97
13.9, 100
21.1, 88
21.7, 95
22.9, 72
27.1, 74
36.1, 92
40.0, 69


Entry 8:
Theoretical XRD peak list of NbTlHgBr6 for CuKα, from DFT lattice parameters and positions (PBE).
Intensities are scaled so that the largest is 100.

Crystal structure
```
data_NbTlHgBr6
_cell_length_a 7.9520
_cell_length_b 7.9520
_cell_length_c 13.9585
_cell_angle_alpha 90.00
_cell_angle_beta 90.00
_cell_angle_gamma 120.00
_space_group_name_H-M_alt 'P -3 1 c'
_space_group_IT_number 163
_space_group_name_Hall '-P 3 2c'
loop_
_atom_site_label
_atom_site_fract_x
_atom_site_fract_y
_atom_site_fract_z
Nb1 0.3333 0.6667 0.2500
Tl1 0.3333 0.6667 0.7500
Hg1 0.0000 0.0000 0.0000
Br1 0.0675 0.4104 0.1430
```

Top 8 peaks for 5° ≤ 2θ ≤ 70°, low angle first:
Position (°2θ), Rel. int.
18.1, 100
22.4, 21
25.8, 44
28.9, 25
34.2, 73
36.9, 36
39.2, 28
53.0, 19


Entry 9:
Theoretical XRD peak list of Nd3HgBr3 for CuKα, from DFT lattice parameters and positions (PBE).
Intensities are scaled so that the largest is 100.

Crystal structure
```
data_Nd3HgBr3
_cell_length_a 6.103
_cell_length_b 6.103
_cell_length_c 6.103
_cell_angle_alpha 90.00
_cell_angle_beta 90.00
_cell_angle_gamma 90.00
_space_group_name_H-M_alt 'P m -3 m'
_space_group_IT_number 221
_space_group_name_Hall '-P 4 2 3'
loop_
_atom_site_label
_atom_site_fract_x
_atom_site_fract_y
_atom_site_fract_z
Nd1 0.000 0.000 0.500
Hg1 0.000 0.000 0.000
Br1 0.000 0.500 0.500
```

Top 8 peaks for 5° ≤ 2θ ≤ 70°, low angle first:
Position (°2θ), Rel. int.
14.5, 45
29.3, 100
32.8, 26
41.9, 76
44.5, 14
51.9, 27
60.7, 13
68.8, 35


Entry 10:
Theoretical XRD peak list of RbNdHg2Br8 for CuKα, from DFT lattice parameters and positions (PBE).
Intensities are scaled so that the largest is 100.

Crystal structure
```
data_RbNdHg2Br8
_cell_length_a 6.938
_cell_length_b 8.143
_cell_length_c 10.129
_cell_angle_alpha 112.75
_cell_angle_beta 93.09
_cell_angle_gamma 95.75
_space_group_name_H-M_alt 'P -1'
_space_group_IT_number 2
_space_group_name_Hall '-P 1'
loop_
_atom_site_label
_atom_site_fract_x
_atom_site_fract_y
_atom_site_fract_z
Rb1 0.000 0.000 0.000
Nd1 0.000 0.000 0.500
Hg1 0.437 0.259 0.800
Br1 0.168 0.798 0.236
Br2 0.235 0.876 0.676
Br3 0.307 0.312 0.576
Br4 0.432 0.297 0.061
```

Top 8 peaks for 5° ≤ 2θ ≤ 70°, low angle first:
Position (°2θ), Rel. int.
11.9, 100
15.2, 33
16.4, 30
26.8, 25
28.7, 46
30.1, 26
35.7, 25
36.4, 24


Entry 11:
Theoretical XRD peak list of Rb2NiHgBr6 for CuKα, from DFT lattice parameters and positions (PBE).
Intensities are scaled so that the largest is 100.

Crystal structure
```
data_Rb2NiHgBr6
_cell_length_a 7.593
_cell_length_b 7.593
_cell_length_c 10.877
_cell_angle_alpha 90.00
_cell_angle_beta 90.00
_cell_angle_gamma 90.00
_space_group_name_H-M_alt 'I 4/m m m'
_space_group_IT_number 139
_space_group_name_Hall '-I 4 2'
loop_
_atom_site_label
_atom_site_fract_x
_atom_site_fract_y
_atom_site_fract_z
Rb1 0.000 0.500 0.250
Ni1 0.000 0.000 0.000
Hg1 0.000 0.000 0.500
Br1 0.000 0.000 0.226
Br2 0.236 0.236 0.000
```

Top 8 peaks for 5° ≤ 2θ ≤ 70°, low angle first:
Position (°2θ), Rel. int.
16.5, 44
23.3, 47
28.7, 54
32.9, 50
33.4, 100
47.6, 68
47.9, 35
59.4, 34


Entry 12:
Theoretical XRD peak list of Np2TlHgBr8 for CuKα, from DFT lattice parameters and positions (PBE).
Intensities are scaled so that the largest is 100.

Crystal structure
```
data_Np2TlHgBr8
_cell_length_a 8.1469
_cell_length_b 8.1469
_cell_length_c 7.8074
_cell_angle_alpha 90.00
_cell_angle_beta 90.00
_cell_angle_gamma 120.00
_space_group_name_H-M_alt 'P -3'
_space_group_IT_number 147
_space_group_name_Hall '-P 3'
loop_
_atom_site_label
_atom_site_fract_x
_atom_site_fract_y
_atom_site_fract_z
Np1 0.3333 0.6667 0.4254
Tl1 0.0000 0.0000 0.0000
Hg1 0.0000 0.0000 0.5000
Br1 0.0507 0.3978 0.6680
Br2 0.3333 0.6667 0.0752
```

Top 8 peaks for 5° ≤ 2θ ≤ 70°, low angle first:
Position (°2θ), Rel. int.
11.3, 53
16.9, 29
21.8, 96
24.7, 29
31.7, 100
35.6, 26
38.3, 62
50.5, 24